Record 1
This entry pairs a crystal structure of Ca2Mg2Al15 with its theoretical powder XRD pattern. Radiation: Cu Ka. Structure: the PBE geometry in Alexandria.
Lines closer than 0.1° are merged.

Atomic structure:
```
Ca2Mg2Al15
1.0
4.7482 2.7414 4.6820
-4.7482 2.7414 4.6820
0.0000 -5.4827 4.6820
Ca Mg Al
2 2 15
direct
0.1481 0.1481 0.1481
0.8519 0.8519 0.8519
0.3968 0.3968 0.3968
0.6032 0.6032 0.6032
0.0000 0.5000 0.5000
0.1482 0.1482 0.6553
0.1482 0.6553 0.1482
0.2051 0.5000 0.7949
0.2051 0.7949 0.5000
0.3447 0.8518 0.8518
0.5000 0.0000 0.5000
0.5000 0.2051 0.7949
0.5000 0.5000 0.0000
0.5000 0.7949 0.2051
0.6553 0.1482 0.1482
0.7949 0.2051 0.5000
0.7949 0.5000 0.2051
0.8518 0.3447 0.8518
0.8518 0.8518 0.3447
```

The 10 most intense peaks (15° ≤ 2θ ≤ 90°), sorted by position:
- 32.67°, rel. 37
- 33.56°, rel. 38
- 37.90°, rel. 65
- 38.04°, rel. 100
- 38.45°, rel. 35
- 38.69°, rel. 19
- 38.82°, rel. 16
- 42.70°, rel. 57
- 68.45°, rel. 22
- 69.28°, rel. 17

Record 2
This entry pairs a crystal structure of Pa3P3N with its theoretical powder XRD pattern. Radiation: Cu Ka. Structure: the PBE geometry in Alexandria.
Lines closer than 0.1° are merged.

Atomic structure:
```
Pa3P3N
1.0
4.6913 2.7085 1.8745
-4.6913 2.7085 1.8745
0.0000 -5.4171 1.8745
Pa P N
3 3 1
direct
0.1992 0.1992 0.6016
0.1992 0.6016 0.1992
0.6016 0.1992 0.1992
0.1083 0.6879 0.6879
0.6879 0.1083 0.6879
0.6879 0.6879 0.1083
0.3066 0.3066 0.3066
```

The 10 most intense peaks (15° ≤ 2θ ≤ 90°), sorted by position:
- 19.19°, rel. 73
- 27.08°, rel. 98
- 33.07°, rel. 100
- 33.24°, rel. 51
- 38.37°, rel. 37
- 38.95°, rel. 72
- 43.64°, rel. 39
- 51.66°, rel. 40
- 59.50°, rel. 42
- 72.69°, rel. 30

Record 3
This entry pairs a crystal structure of CuCSN with its theoretical powder XRD pattern. Radiation: Cu Ka. Structure: the PBE geometry in Alexandria.
Lines closer than 0.1° are merged.

Atomic structure:
```
CuCSN
1.0
3.9878 0.0000 0.0000
-0.1194 4.0747 0.0000
-1.8694 -1.8008 5.1682
Cu C S N
1 1 1 1
direct
0.0000 0.0000 0.0000
0.7290 0.4596 0.4606
0.5825 0.1723 0.1659
0.8339 0.6647 0.6704
```

The 10 most intense peaks (15° ≤ 2θ ≤ 90°), sorted by position:
- 17.16°, rel. 51
- 23.12°, rel. 25
- 23.85°, rel. 100
- 24.04°, rel. 18
- 30.93°, rel. 9
- 34.68°, rel. 15
- 34.88°, rel. 9
- 45.52°, rel. 12
- 48.81°, rel. 13
- 51.29°, rel. 11

Record 4
This entry pairs a crystal structure of Er6BPb2 with its theoretical powder XRD pattern. Radiation: Cu Ka. Structure: the PBE geometry in Alexandria.
Lines closer than 0.1° are merged.

Atomic structure:
```
Er6BPb2
1.0
0.0000 4.9212 4.9212
4.9212 0.0000 4.9212
4.9212 4.9212 0.0000
Er B Pb
6 1 2
direct
0.2484 0.2484 0.7516
0.2484 0.7516 0.2484
0.2484 0.7516 0.7516
0.7516 0.2484 0.2484
0.7516 0.2484 0.7516
0.7516 0.7516 0.2484
0.0000 0.0000 0.0000
0.2500 0.2500 0.2500
0.7500 0.7500 0.7500
```

The 10 most intense peaks (15° ≤ 2θ ≤ 90°), sorted by position:
- 18.03°, rel. 1
- 25.60°, rel. 1
- 31.49°, rel. 100
- 36.52°, rel. 52
- 52.60°, rel. 37
- 62.61°, rel. 43
- 65.73°, rel. 13
- 77.60°, rel. 6
- 86.13°, rel. 18
- 88.95°, rel. 18

Record 5
This entry pairs a crystal structure of Tm3P6Rh20 with its theoretical powder XRD pattern. Radiation: Cu Ka. Structure: the PBE geometry in Alexandria.
Lines closer than 0.1° are merged.

Atomic structure:
```
Tm3P6Rh20
1.0
0.0000 5.9894 5.9894
5.9894 0.0000 5.9894
5.9894 5.9894 0.0000
Tm P Rh
3 6 20
direct
0.0000 0.0000 0.0000
0.2500 0.2500 0.2500
0.7500 0.7500 0.7500
0.2695 0.2695 0.7305
0.2695 0.7305 0.2695
0.2695 0.7305 0.7305
0.7305 0.2695 0.2695
0.7305 0.2695 0.7305
0.7305 0.7305 0.2695
0.0000 0.0000 0.3413
0.0000 0.0000 0.6587
0.0000 0.3413 0.0000
0.0000 0.3413 0.6587
0.0000 0.6587 0.0000
0.0000 0.6587 0.3413
0.1493 0.6169 0.6169
0.3413 0.0000 0.0000
0.3413 0.0000 0.6587
0.3413 0.6587 0.0000
0.3831 0.3831 0.3831
0.3831 0.3831 0.8507
0.3831 0.8507 0.3831
0.6169 0.1493 0.6169
0.6169 0.6169 0.1493
0.6169 0.6169 0.6169
0.6587 0.0000 0.0000
0.6587 0.0000 0.3413
0.6587 0.3413 0.0000
0.8507 0.3831 0.3831
```

The 10 most intense peaks (15° ≤ 2θ ≤ 90°), sorted by position:
- 33.45°, rel. 23
- 36.76°, rel. 39
- 39.07°, rel. 100
- 42.70°, rel. 34
- 44.76°, rel. 21
- 50.54°, rel. 12
- 66.20°, rel. 29
- 67.75°, rel. 15
- 78.18°, rel. 22
- 79.64°, rel. 10

Record 6
This entry pairs a crystal structure of CaAs with its theoretical powder XRD pattern. Radiation: Cu Ka. Structure: the PBE geometry in Alexandria.
Lines closer than 0.1° are merged.

Atomic structure:
```
CaAs
1.0
7.9262 0.0000 0.0000
-3.9631 6.8643 0.0000
0.0000 0.0000 5.8855
Ca As
6 6
direct
0.0000 0.3480 0.0000
0.0000 0.6811 0.5000
0.3189 0.3189 0.5000
0.3480 0.0000 0.0000
0.6520 0.6520 0.0000
0.6811 0.0000 0.5000
0.0000 0.0000 0.2166
0.0000 0.0000 0.7834
0.3333 0.6667 0.2771
0.3333 0.6667 0.7229
0.6667 0.3333 0.2771
0.6667 0.3333 0.7229
```

The 10 most intense peaks (15° ≤ 2θ ≤ 90°), sorted by position:
- 22.43°, rel. 73
- 27.13°, rel. 40
- 38.09°, rel. 100
- 39.38°, rel. 73
- 45.79°, rel. 11
- 55.94°, rel. 31
- 61.95°, rel. 9
- 70.55°, rel. 30
- 71.40°, rel. 11
- 77.06°, rel. 13

What did the fifth record say?
This entry pairs a crystal structure of Tm3P6Rh20 with its theoretical powder XRD pattern. Radiation: Cu Ka. Structure: the PBE geometry in Alexandria.
Lines closer than 0.1° are merged.

Atomic structure:
```
Tm3P6Rh20
1.0
0.0000 5.9894 5.9894
5.9894 0.0000 5.9894
5.9894 5.9894 0.0000
Tm P Rh
3 6 20
direct
0.0000 0.0000 0.0000
0.2500 0.2500 0.2500
0.7500 0.7500 0.7500
0.2695 0.2695 0.7305
0.2695 0.7305 0.2695
0.2695 0.7305 0.7305
0.7305 0.2695 0.2695
0.7305 0.2695 0.7305
0.7305 0.7305 0.2695
0.0000 0.0000 0.3413
0.0000 0.0000 0.6587
0.0000 0.3413 0.0000
0.0000 0.3413 0.6587
0.0000 0.6587 0.0000
0.0000 0.6587 0.3413
0.1493 0.6169 0.6169
0.3413 0.0000 0.0000
0.3413 0.0000 0.6587
0.3413 0.6587 0.0000
0.3831 0.3831 0.3831
0.3831 0.3831 0.8507
0.3831 0.8507 0.3831
0.6169 0.1493 0.6169
0.6169 0.6169 0.1493
0.6169 0.6169 0.6169
0.6587 0.0000 0.0000
0.6587 0.0000 0.3413
0.6587 0.3413 0.0000
0.8507 0.3831 0.3831
```

The 10 most intense peaks (15° ≤ 2θ ≤ 90°), sorted by position:
- 33.45°, rel. 23
- 36.76°, rel. 39
- 39.07°, rel. 100
- 42.70°, rel. 34
- 44.76°, rel. 21
- 50.54°, rel. 12
- 66.20°, rel. 29
- 67.75°, rel. 15
- 78.18°, rel. 22
- 79.64°, rel. 10

Q: Which formula does entry 3 have?
A: CuCSN